Mn3V2O8: simulated powder XRD pattern (a wavelength of 1.5418 Å), based on a cell relaxed with PBE+U.
Peak positions follow from Bragg's law for the DFT cell and can differ from measured ones.

Cell and atoms:
```
data_Mn3V2O8
_symmetry_space_group_name_H-M 'I -4'
_symmetry_Int_Tables_number 82
_symmetry_space_group_name_Hall 'I -4'
_cell_length_a 7.1305
_cell_length_b 7.1305
_cell_length_c 19.8529
_cell_angle_alpha 90.00
_cell_angle_beta 90.00
_cell_angle_gamma 90.00
loop_
_atom_site_label
_atom_site_fract_x
_atom_site_fract_y
_atom_site_fract_z
Mn1 0.0000 0.0000 0.0000
Mn2 0.0000 0.0000 0.2725
Mn3 0.0000 0.5000 0.5240
Mn4 0.2408 0.7540 0.6266
V1 0.0000 0.0000 0.5000
V2 0.0000 0.5000 0.7500
V3 0.1527 0.2477 0.1243
O1 0.0014 0.8021 0.1889
O2 0.0033 0.7250 0.0530
O3 0.0421 0.7269 0.8997
O4 0.0491 0.7065 0.7055
O5 0.0500 0.7762 0.3544
O6 0.0546 0.7938 0.5442
```

Largest 10 diffraction maxima, sorted by position, 5° ≤ 2θ ≤ 70°:
2theta, I (rel.)
25.7, 16
28.3, 19
30.9, 100
31.1, 8
35.6, 9
36.2, 9
41.0, 6
51.2, 15
51.7, 24
61.0, 13